This entry pairs a crystal structure of CaDyPt with its simulated X-ray powder pattern. Radiation: Cu Kα. Structure: a crystal structure in Alexandria, relaxed with GGA-PBE.

The 8 most intense peaks (2θ = 15–90°), most intense first:
| two_theta | intensity |
| --- | --- |
| 35.8 | 100 |
| 27.4 | 33 |
| 36.1 | 26 |
| 36.2 | 26 |
| 32.7 | 25 |
| 32.5 | 24 |
| 48.6 | 15 |
| 40.7 | 14 |

Structural model:
```
data_CaDyPt
_chemical_formula_sum 'Ca2 Dy2 Pt2'
_cell_length_a 3.7434
_cell_length_b 6.8544
_cell_length_c 7.0014
_cell_angle_alpha 75.47
_cell_angle_beta 89.98
_cell_angle_gamma 89.80
_space_group_name_H-M_alt 'P 1'
_space_group_IT_number 1
loop_
_space_group_symop_operation_xyz
'x,y,z'
loop_
_atom_site_label
_atom_site_fract_x
_atom_site_fract_y
_atom_site_fract_z
_atom_site_occupancy
Ca1 0.0000 0.0000 0.0000 1
Ca2 0.4972 0.9406 0.5055 1
Dy1 0.9964 0.5093 0.8691 1
Dy2 0.9968 0.4359 0.3894 1
Pt1 0.4978 0.2839 0.1482 1
Pt2 0.4980 0.2845 0.7020 1
```



This entry pairs a crystal structure of Er5B2O6F9 with its simulated X-ray powder pattern. Radiation: Cu Kα. Structure: a crystal structure in Alexandria, relaxed with GGA-PBE.

The 8 most intense peaks (2θ = 15–90°), most intense first:
| two_theta | intensity |
| --- | --- |
| 26.5 | 100 |
| 31.6 | 61 |
| 51.0 | 57 |
| 27.1 | 52 |
| 22.1 | 39 |
| 25.1 | 38 |
| 27.7 | 37 |
| 46.6 | 37 |

Structural model:
```
data_Er5B2O6F9
_chemical_formula_sum 'Er10 B4 O12 F18'
_cell_length_a 10.7173
_cell_length_b 10.7173
_cell_length_c 8.2550
_cell_angle_alpha 100.06
_cell_angle_beta 100.06
_cell_angle_gamma 32.80
_space_group_name_H-M_alt 'P 1'
_space_group_IT_number 1
loop_
_space_group_symop_operation_xyz
'x,y,z'
loop_
_atom_site_label
_atom_site_fract_x
_atom_site_fract_y
_atom_site_fract_z
_atom_site_occupancy
Er1 0.0737 0.3140 0.3195 1
Er2 0.1064 0.8936 0.7500 1
Er3 0.2819 0.5003 0.0938 1
Er4 0.3140 0.0737 0.8195 1
Er5 0.5003 0.2819 0.5938 1
Er6 0.4997 0.7181 0.4062 1
Er7 0.6860 0.9263 0.1805 1
Er8 0.7181 0.4997 0.9062 1
Er9 0.8936 0.1064 0.2500 1
Er10 0.9263 0.6860 0.6805 1
B1 0.0155 0.2068 0.5620 1
B2 0.2068 0.0155 0.0620 1
B3 0.7932 0.9845 0.9380 1
B4 0.9845 0.7932 0.4380 1
O1 0.0106 0.8030 0.2838 1
O2 0.0980 0.2192 0.0388 1
O3 0.1490 0.6707 0.5660 1
O4 0.1970 0.9894 0.2162 1
O5 0.2192 0.0980 0.5388 1
O6 0.3293 0.8510 0.9340 1
O7 0.6707 0.1490 0.0660 1
O8 0.7808 0.9020 0.4612 1
O9 0.8030 0.0106 0.7838 1
O10 0.8510 0.3293 0.4340 1
O11 0.9020 0.7808 0.9612 1
O12 0.9894 0.1970 0.7162 1
F1 0.0095 0.4445 0.7858 1
F2 0.1499 0.7875 0.0174 1
F3 0.2125 0.8501 0.4826 1
F4 0.2147 0.3655 0.5196 1
F5 0.2960 0.4420 0.8150 1
F6 0.3655 0.2147 0.0196 1
F7 0.4420 0.2960 0.3150 1
F8 0.4445 0.0095 0.2858 1
F9 0.4828 0.5172 0.7500 1
F10 0.5172 0.4828 0.2500 1
F11 0.5555 0.9905 0.7142 1
F12 0.5580 0.7040 0.6850 1
F13 0.6345 0.7853 0.9804 1
F14 0.7040 0.5580 0.1850 1
F15 0.7853 0.6345 0.4804 1
F16 0.7875 0.1499 0.5174 1
F17 0.8501 0.2125 0.9826 1
F18 0.9905 0.5555 0.2142 1
```



This entry pairs a crystal structure of Cs2CaSbSe4 with its simulated X-ray powder pattern. Radiation: Cu Kα. Structure: a crystal structure in Alexandria, relaxed with GGA-PBE.

The 8 most intense peaks (2θ = 15–90°), most intense first:
| two_theta | intensity |
| --- | --- |
| 23.9 | 100 |
| 23.2 | 45 |
| 27.5 | 42 |
| 32.9 | 35 |
| 28.4 | 24 |
| 44.1 | 24 |
| 33.6 | 24 |
| 17.3 | 22 |

Structural model:
```
data_Cs2CaSbSe4
_chemical_formula_sum 'Cs4 Ca2 Sb2 Se8'
_cell_length_a 15.3092
_cell_length_b 13.6965
_cell_length_c 8.4004
_cell_angle_alpha 84.07
_cell_angle_beta 62.86
_cell_angle_gamma 33.08
_space_group_name_H-M_alt 'P 1'
_space_group_IT_number 1
loop_
_space_group_symop_operation_xyz
'x,y,z'
loop_
_atom_site_label
_atom_site_fract_x
_atom_site_fract_y
_atom_site_fract_z
_atom_site_occupancy
Cs1 0.0568 0.0568 0.6932 1
Cs2 0.3068 0.3068 0.9432 1
Cs3 0.6932 0.6932 0.0568 1
Cs4 0.9432 0.9432 0.3068 1
Ca1 0.1250 0.1250 0.1250 1
Ca2 0.8750 0.8750 0.8750 1
Sb1 0.3750 0.3750 0.3750 1
Sb2 0.6250 0.6250 0.6250 1
Se1 0.0130 0.3420 0.4466 1
Se2 0.3016 0.5534 0.6580 1
Se3 0.3420 0.0130 0.6984 1
Se4 0.4466 0.6984 0.0130 1
Se5 0.5534 0.3016 0.9870 1
Se6 0.6580 0.9870 0.3016 1
Se7 0.6984 0.4466 0.3420 1
Se8 0.9870 0.6580 0.5534 1
```